Record 1
For CdSn3Se6, a cell relaxed with GGA-PBE gives the calculated X-ray diffraction stick pattern in this record (λ = 1.5418 Å (Cu Kα)).

Structure:
```
10
Lattice="0.0000 5.3392 5.6154 4.9349 0.0000 5.6154 4.9349 5.3392 0.0000" Properties=species:S:1:pos:R:3 pbc="T T T"
Cd 0.0000 0.0000 0.0000
Sn 2.4674 2.6696 2.8077
Sn 4.9349 5.3392 5.6154
Sn 7.4023 8.0088 8.4231
Se 7.4204 3.9364 5.6154
Se 4.9349 5.3392 2.7987
Se 7.4204 6.7420 5.6154
Se 2.4494 3.9364 5.6154
Se 4.9349 5.3392 8.4321
Se 2.4494 6.7420 5.6154
```

Peak list (12 most intense, 2θ = 10–90°, by angle)
two_theta	I/Imax
23.0	22
24.6	100
31.9	54
36.4	37
37.3	18
38.3	15
40.6	53
41.7	45
49.2	32
50.7	13
53.1	13
63.6	13

=====

Record 2
For Tl2CdSnSe4, a cell relaxed with GGA-PBE gives the calculated X-ray diffraction stick pattern in this record (λ = 1.5418 Å (Cu Kα)).

Structure:
```
16
Lattice="9.8356 0.0000 0.0000 0.0000 9.4055 0.0000 -4.8560 0.0000 5.6627" Properties=species:S:1:pos:R:3 pbc="T T T"
Tl 0.0000 0.0000 0.0000
Tl -2.4280 2.0661 2.8314
Tl 4.9178 4.7028 0.0000
Tl 2.4898 6.7689 2.8314
Cd -2.4280 7.4308 2.8314
Cd 2.4898 2.7280 2.8314
Sn 0.0000 5.1694 0.0000
Sn 4.9178 0.4667 0.0000
Se -2.7557 6.6292 5.3515
Se 0.1609 4.0190 2.3055
Se -0.0991 8.7217 3.3573
Se 2.8175 1.9265 0.3112
Se 2.1621 1.9265 5.3515
Se 5.0787 8.7217 2.3055
Se 4.8187 4.0190 3.3573
Se 7.7353 6.6292 0.3112
```

Peak list (12 most intense, 2θ = 10–90°, by angle)
two_theta	I/Imax
23.8	13
24.1	12
24.6	35
26.2	100
26.9	12
27.1	11
31.0	11
31.6	31
36.5	25
38.3	17
41.3	22
41.7	26

=====

Record 3
For Sr2CdSe3, a cell relaxed with GGA-PBE gives the calculated X-ray diffraction stick pattern in this record (λ = 1.5418 Å (Cu Kα)).

Structure:
```
24
Lattice="9.0780 0.0000 0.0000 0.0000 4.3648 0.0000 0.0000 0.0000 17.6107" Properties=species:S:1:pos:R:3 pbc="T T T"
Sr 0.7156 1.0912 3.8378
Sr 2.0905 1.0912 16.9308
Sr 2.4485 3.2736 8.1255
Sr 3.8234 3.2736 12.6431
Sr 5.2546 1.0912 4.9676
Sr 6.6295 1.0912 9.4852
Sr 6.9875 3.2736 0.6799
Sr 8.3624 3.2736 13.7729
Cd 1.0532 1.0912 11.1147
Cd 3.4858 3.2736 2.3094
Cd 5.5922 1.0912 15.3013
Cd 8.0248 3.2736 6.4960
Se 0.3284 1.0912 7.1471
Se 1.0548 3.2736 1.2704
Se 1.6731 1.0912 13.7054
Se 2.8659 3.2736 4.9000
Se 3.4842 1.0912 10.0757
Se 4.2106 3.2736 15.9524
Se 4.8674 1.0912 1.6583
Se 5.5938 3.2736 7.5350
Se 6.2121 1.0912 12.7107
Se 7.4049 3.2736 3.9053
Se 8.0232 1.0912 16.3404
Se 8.7496 3.2736 10.4636
```

Peak list (12 most intense, 2θ = 10–90°, by angle)
two_theta	I/Imax
25.4	39
27.2	60
28.4	82
28.8	69
30.2	61
30.5	100
31.3	41
34.2	94
36.5	93
38.4	36
41.4	86
47.9	34

=====

Record 4
For Tb5CdSe4, a cell relaxed with GGA-PBE gives the calculated X-ray diffraction stick pattern in this record (λ = 1.5418 Å (Cu Kα)).

Structure:
```
10
Lattice="-4.6366 4.6366 2.9352 4.6366 -4.6366 2.9352 4.6366 4.6366 -2.9352" Properties=species:S:1:pos:R:3 pbc="T T T"
Tb 0.0000 0.0000 0.0000
Tb 3.6914 1.7997 0.0000
Tb 2.8369 -0.9453 2.9352
Tb 1.7997 5.5819 0.0000
Tb 0.9453 2.8369 2.9352
Cd 0.0000 0.0000 2.9352
Se 6.4755 0.9332 0.0000
Se 0.9332 2.7978 0.0000
Se 3.7034 1.8389 2.9352
Se -1.8389 3.7034 2.9352
```

Peak list (10 most intense, 2θ = 10–90°, by angle)
two_theta	I/Imax
26.3	16
30.5	100
43.6	74
51.7	8
54.2	26
63.4	12
69.9	3
72.0	33
80.1	25
86.1	3

=====

Record 5
For Cd5Te4Se, a cell relaxed with GGA-PBE gives the calculated X-ray diffraction stick pattern in this record (λ = 1.5418 Å (Cu Kα)).

Structure:
```
20
Lattice="4.6148 0.0000 0.0000 -2.3074 3.9965 0.0000 0.0000 0.0000 37.7903" Properties=species:S:1:pos:R:3 pbc="T T T"
Cd 0.0000 0.0000 0.0000
Cd 0.0000 0.0000 7.2967
Cd 0.0000 0.0000 14.5966
Cd 0.0000 0.0000 22.3294
Cd 0.0000 0.0000 30.0597
Cd 0.0000 2.6644 3.4331
Cd 0.0000 2.6644 10.7261
Cd 0.0000 2.6644 18.4636
Cd 0.0000 2.6644 26.1951
Cd 0.0000 2.6644 33.9260
Te 0.0000 0.0000 17.4630
Te 0.0000 0.0000 25.1921
Te 0.0000 0.0000 32.9216
Te 0.0000 2.6644 6.3015
Te 0.0000 2.6644 13.6004
Te 0.0000 2.6644 21.3276
Te 0.0000 2.6644 29.0563
Te 0.0000 2.6644 36.7873
Se 0.0000 0.0000 2.6887
Se 0.0000 0.0000 9.9881
```

Peak list (12 most intense, 2θ = 10–90°, by angle)
two_theta	I/Imax
22.2	100
23.5	53
25.2	64
32.6	35
39.0	91
42.4	78
45.4	15
46.1	51
59.0	28
66.1	14
70.7	15
73.0	30

=====

Record 6
For ThCdSe2, a cell relaxed with GGA-PBE gives the calculated X-ray diffraction stick pattern in this record (λ = 1.5418 Å (Cu Kα)).

Structure:
```
12
Lattice="4.3177 0.0000 0.0000 -2.1588 3.7392 0.0000 0.0000 0.0000 31.5180" Properties=species:S:1:pos:R:3 pbc="T T T"
Th 0.0000 0.0000 0.0000
Th 0.0000 2.4928 21.0120
Th 2.1588 1.2464 10.5060
Cd 0.0000 0.0000 15.7590
Cd 0.0000 2.4928 5.2530
Cd 2.1588 1.2464 26.2650
Se 0.0000 0.0000 12.0367
Se 0.0000 0.0000 19.4813
Se 0.0000 2.4928 1.5306
Se 0.0000 2.4928 8.9753
Se 2.1588 1.2464 22.5426
Se 2.1588 1.2464 29.9873
```

Peak list (12 most intense, 2θ = 10–90°, by angle)
two_theta	I/Imax
16.9	56
24.5	100
26.4	21
27.7	35
33.0	90
37.3	45
41.8	49
45.4	28
52.5	22
54.3	22
69.1	18
70.8	20